Rb4U3AuS8: theoretical XRD peak list (Cu Ka), based on a structure optimized by DFT (GGA-PBE).

Principal peaks in the range 2θ from 5° to 70°, by angle:
- 11.5 deg, rel. 80
- 23.1 deg, rel. 45
- 26.5 deg, rel. 57
- 29.4 deg, rel. 52
- 29.8 deg, rel. 100
- 40.4 deg, rel. 39

Structure:
```
Rb4U3AuS8
1.0
7.1354 -4.0335 0.0000
7.1354 4.0335 0.0000
-4.7215 0.0000 7.7054
Rb U Au S
4 3 1 8
direct
0.0000 0.0000 0.0000 Rb
0.0000 0.5000 0.0000 Rb
0.5000 0.0000 0.0000 Rb
0.5000 0.5000 0.0000 Rb
0.0000 0.0000 0.5000 U
0.0000 0.5000 0.5000 U
0.5000 0.0000 0.5000 U
0.5000 0.5000 0.5000 Au
0.2200 0.7324 0.6896 S
0.2297 0.2297 0.6932 S
0.2541 0.2541 0.3015 S
0.2676 0.7800 0.3104 S
0.7324 0.2200 0.6896 S
0.7459 0.7459 0.6985 S
0.7703 0.7703 0.3068 S
0.7800 0.2676 0.3104 S
```